# ScN3F6
Calculated powder XRD pattern, Cu Ka. Input: a structure optimized by DFT (GGA-PBE).

Cell and atoms:
Cell lengths 6.4950, 6.5327, 6.5349 Å; angles 110.61, 105.84, 110.32 degrees
Element x y z (fractional)
Sc (0.0000, 0.0000, 0.0000)
N (0.2450, 0.4026, 0.6392)
N (0.4413, 0.9000, 0.3676)
N (0.7340, 0.3918, 0.1239)
F (0.1982, 0.3440, 0.1244)
F (0.2493, 0.8715, 0.1275)
F (0.3008, 0.8692, 0.4878)
F (0.5944, 0.1536, 0.4937)
F (0.7720, 0.9237, 0.1225)
F (0.8332, 0.8398, 0.6577)

The 8 most intense peaks (2θ = 10–80°), in order of falling intensity:
d [Å], 2theta, Rel. int., (hkl)
5.322, 16.7, 100, 0 1 0
5.197, 17.1, 91, 1 0 -1
3.122, 28.6, 84, 1 -2 1
3.718, 23.9, 71, -1 1 1
3.927, 22.6, 41, 1 -1 1
5.455, 16.2, 40, 0 0 1
2.669, 33.6, 36, 2 -2 0
2.661, 33.7, 28, 0 2 0